[1]
This entry pairs a crystal structure of Mg6Zn6Se with its computed PXRD pattern. Radiation: CuKα. Structure: the PBE geometry in Alexandria.
Neutral-atom scattering factors, no anomalous dispersion.

Top 10 peaks for 2θ from 10° to 90°, in order of falling intensity:
| (hkl) | two_theta | d (Å) | I_rel |
| --- | --- | --- | --- |
| 1 1 0 | 30.17 | 2.962 | 100 |
| 1 1 2 | 36.49 | 2.463 | 75 |
| 2 0 0 | 35.03 | 2.562 | 44 |
| 2 2 0 | 62.73 | 1.481 | 27 |
| 2 0 2 | 40.64 | 2.220 | 27 |
| 1 1 6 | 71.37 | 1.322 | 19 |
| 3 0 2 | 57.78 | 1.596 | 19 |
| 3 0 0 | 53.58 | 1.710 | 18 |
| 1 0 4 | 44.56 | 2.034 | 16 |
| 1 1 3 | 43.26 | 2.092 | 15 |

Crystal structure
```
13
Lattice="5.9252 0.0000 0.0000 -2.9626 5.1313 0.0000 0.0000 0.0000 8.8597" Properties=species:S:1:pos:R:3 pbc="T T T"
Mg -1.4813 2.5657 2.2088
Mg -1.4813 2.5657 6.6510
Mg 2.9626 0.0000 2.2088
Mg 2.9626 0.0000 6.6510
Mg 1.4813 2.5657 2.2088
Mg 1.4813 2.5657 6.6510
Zn 0.0000 0.0000 1.3219
Zn 0.0000 0.0000 7.5378
Zn 0.0000 3.4209 0.0000
Zn 0.0000 3.4209 4.4299
Zn 2.9626 1.7104 0.0000
Zn 2.9626 1.7104 4.4299
Se 0.0000 0.0000 4.4299
```

[2]
This entry pairs a crystal structure of SrDyCd6 with its computed PXRD pattern. Radiation: CuKα. Structure: the PBE geometry in Alexandria.
Neutral-atom scattering factors, no anomalous dispersion.

Top 10 peaks for 2θ from 10° to 90°, in order of falling intensity:
| (hkl) | two_theta | d (Å) | I_rel |
| --- | --- | --- | --- |
| 2 0 0 | 34.93 | 2.569 | 100 |
| 1 0 2 | 36.07 | 2.490 | 25 |
| 3 2 1 | 62.67 | 1.482 | 16 |
| 0 2 1 | 30.11 | 2.968 | 14 |
| 0 0 2 | 31.41 | 2.848 | 11 |
| 2 2 3 | 66.95 | 1.398 | 10 |
| 0 2 3 | 55.11 | 1.667 | 9 |
| 2 2 1 | 46.80 | 1.941 | 8 |
| 1 4 2 | 65.47 | 1.426 | 8 |
| 2 4 0 | 64.76 | 1.439 | 7 |

Crystal structure
```
8
Lattice="5.1317 0.0000 0.0000 0.0000 6.9557 0.0000 0.0000 0.0000 5.6962" Properties=species:S:1:pos:R:3 pbc="T T T"
Sr 0.0000 0.0000 0.0000
Dy 2.5659 3.4778 1.7901
Cd 0.0000 1.8314 2.7938
Cd 0.0000 3.4778 5.5326
Cd 0.0000 5.1243 2.7938
Cd 2.5659 0.0000 2.3443
Cd 2.5659 1.9135 4.7151
Cd 2.5659 5.0422 4.7151
```

What did the first record say?
This entry pairs a crystal structure of Mg6Zn6Se with its computed PXRD pattern. Radiation: CuKα. Structure: the PBE geometry in Alexandria.
Neutral-atom scattering factors, no anomalous dispersion.

Top 10 peaks for 2θ from 10° to 90°, in order of falling intensity:
| (hkl) | two_theta | d (Å) | I_rel |
| --- | --- | --- | --- |
| 1 1 0 | 30.17 | 2.962 | 100 |
| 1 1 2 | 36.49 | 2.463 | 75 |
| 2 0 0 | 35.03 | 2.562 | 44 |
| 2 2 0 | 62.73 | 1.481 | 27 |
| 2 0 2 | 40.64 | 2.220 | 27 |
| 1 1 6 | 71.37 | 1.322 | 19 |
| 3 0 2 | 57.78 | 1.596 | 19 |
| 3 0 0 | 53.58 | 1.710 | 18 |
| 1 0 4 | 44.56 | 2.034 | 16 |
| 1 1 3 | 43.26 | 2.092 | 15 |

Crystal structure
```
13
Lattice="5.9252 0.0000 0.0000 -2.9626 5.1313 0.0000 0.0000 0.0000 8.8597" Properties=species:S:1:pos:R:3 pbc="T T T"
Mg -1.4813 2.5657 2.2088
Mg -1.4813 2.5657 6.6510
Mg 2.9626 0.0000 2.2088
Mg 2.9626 0.0000 6.6510
Mg 1.4813 2.5657 2.2088
Mg 1.4813 2.5657 6.6510
Zn 0.0000 0.0000 1.3219
Zn 0.0000 0.0000 7.5378
Zn 0.0000 3.4209 0.0000
Zn 0.0000 3.4209 4.4299
Zn 2.9626 1.7104 0.0000
Zn 2.9626 1.7104 4.4299
Se 0.0000 0.0000 4.4299
```

- Which formula does entry 1 have?
  Mg6Zn6Se